1.
Diffraction record for CaSnPd. The PXRD pattern is calculated, not measured: it uses a cell relaxed with GGA-PBE and a wavelength of 1.5418 Å.
No peak broadening, texture or thermal motion is included.

Top 12 peaks for 2θ = 10–90°, by angle:
h k l  d (Å)  Position (°2θ)  intensity
1 0 0  4.047  22.0  27.6
0 0 1  3.766  23.6  52.1
1 0 1  2.757  32.5  100.0
1 1 0  2.336  38.5  93.1
1 1 1  1.985  45.7  55.8
0 0 2  1.883  48.3  16.1
2 0 1  1.782  51.3  26.9
1 1 2  1.466  63.5  42.5
2 1 1  1.417  65.9  25.0
3 0 0  1.349  69.7  16.1
3 0 1  1.270  74.8  13.7
3 0 2  1.097  89.3  17.5

Atomic structure:
```
data_CaSnPd
_chemical_formula_sum 'Ca1 Sn1 Pd1'
_space_group_name_H-M_alt 'P -6 m 2'
_space_group_IT_number 187
_space_group_name_Hall 'P -6 2'
_cell_length_a 4.6726
_cell_length_b 4.6726
_cell_length_c 3.7658
_cell_angle_alpha 90.00
_cell_angle_beta 90.00
_cell_angle_gamma 120.00
loop_
_atom_site_label
_atom_site_type_symbol
_atom_site_fract_x
_atom_site_fract_y
_atom_site_fract_z
Ca1 Ca 0.0000 0.0000 0.0000
Sn1 Sn 0.6667 0.3333 0.5000
Pd1 Pd 0.3333 0.6667 0.5000
```



2.
Diffraction record for CaSn4Pd6. The PXRD pattern is calculated, not measured: it uses a cell relaxed with GGA-PBE and a wavelength of 1.5418 Å.
No peak broadening, texture or thermal motion is included.

Top 12 peaks for 2θ = 10–90°, by angle:
h k l  d (Å)  Position (°2θ)  intensity
1 0 0  6.723  13.2  35.5
1 1 1  2.834  31.6  25.3
2 0 1  2.611  34.3  87.9
2 1 0  2.541  35.3  30.6
2 1 1  2.167  41.7  100.0
0 0 2  2.074  43.7  34.4
3 0 1  1.971  46.0  17.2
2 2 0  1.941  46.8  33.6
2 1 2  1.607  57.4  14.9
2 2 2  1.417  65.9  24.2
5 0 1  1.279  74.1  35.6
2 1 3  1.214  78.8  18.0

Atomic structure:
```
data_CaSn4Pd6
_chemical_formula_sum 'Ca1 Sn4 Pd6'
_space_group_name_H-M_alt 'P -6 m 2'
_space_group_IT_number 187
_space_group_name_Hall 'P -6 2'
_cell_length_a 7.7627
_cell_length_b 7.7627
_cell_length_c 4.1471
_cell_angle_alpha 90.00
_cell_angle_beta 90.00
_cell_angle_gamma 120.00
loop_
_atom_site_label
_atom_site_type_symbol
_atom_site_fract_x
_atom_site_fract_y
_atom_site_fract_z
Ca1 Ca 0.0000 0.0000 0.0000
Sn1 Sn 0.3333 0.6667 0.0000
Sn2 Sn 0.3802 0.1901 0.5000
Pd1 Pd 0.2025 0.4051 0.5000
Pd2 Pd 0.5368 0.0735 0.0000
```



3.
Diffraction record for Sr3Ca3Pd4. The PXRD pattern is calculated, not measured: it uses a cell relaxed with GGA-PBE and a wavelength of 1.5418 Å.
No peak broadening, texture or thermal motion is included.

Top 12 peaks for 2θ = 10–90°, by angle:
h k l  d (Å)  Position (°2θ)  intensity
1 0 0  4.200  21.2  25.3
0 3 1  3.645  24.4  10.3
1 2 2  2.925  30.6  16.3
1 3 1  2.753  32.5  100.0
0 2 4  2.579  34.8  49.3
1 2 4  2.197  41.1  18.4
2 0 0  2.100  43.1  16.9
1 5 1  1.989  45.6  9.9
2 2 4  1.629  56.5  12.4
2 4 2  1.628  56.5  11.2
1 4 6  1.495  62.1  10.6
3 1 3  1.307  72.3  9.2

Atomic structure:
```
data_Sr3Ca3Pd4
_chemical_formula_sum 'Sr6 Ca6 Pd8'
_space_group_name_H-M_alt 'A m m 2'
_space_group_IT_number 38
_cell_length_a 4.200
_cell_length_b 11.511
_cell_length_c 11.551
_cell_angle_alpha 90.00
_cell_angle_beta 90.00
_cell_angle_gamma 90.00
loop_
_space_group_symop_operation_xyz
'x,y,z'
'-x,-y,z'
'-x,y,z'
'x,-y,z'
'x,y+1/2,z+1/2'
'-x,-y+1/2,z+1/2'
'-x,y+1/2,z+1/2'
'x,-y+1/2,z+1/2'
loop_
_atom_site_label
_atom_site_type_symbol
_atom_site_fract_x
_atom_site_fract_y
_atom_site_fract_z
Sr1 Sr 0.000 0.000 0.000
Sr2 Sr 0.500 0.247 0.594
Ca1 Ca 0.000 0.000 0.685
Ca2 Ca 0.000 0.155 0.344
Pd1 Pd 0.500 0.000 0.223
Pd2 Pd 0.500 0.000 0.473
Pd3 Pd 0.500 0.130 0.837
```



4.
Diffraction record for SrCa2Pd3. The PXRD pattern is calculated, not measured: it uses a cell relaxed with GGA-PBE and a wavelength of 1.5418 Å.
No peak broadening, texture or thermal motion is included.

Top 12 peaks for 2θ = 10–90°, by angle:
h k l  d (Å)  Position (°2θ)  intensity
1 0 0  3.638  24.5  13.2
1 0 2  2.997  29.8  6.6
1 1 0  2.572  34.9  56.4
1 0 3  2.532  35.4  100.0
2 0 0  1.819  50.2  19.5
0 0 6  1.764  51.8  6.5
2 1 3  1.477  62.9  35.7
1 1 6  1.455  64.0  13.4
2 2 0  1.286  73.7  6.0
2 0 6  1.266  75.0  8.3
3 1 0  1.150  84.2  8.4
3 0 3  1.147  84.5  7.7

Atomic structure:
```
data_SrCa2Pd3
_chemical_formula_sum 'Sr1 Ca2 Pd3'
_space_group_name_H-M_alt 'P 4/m m m'
_space_group_IT_number 123
_space_group_name_Hall '-P 4 2'
_cell_length_a 3.638
_cell_length_b 3.638
_cell_length_c 10.581
_cell_angle_alpha 90.00
_cell_angle_beta 90.00
_cell_angle_gamma 90.00
loop_
_atom_site_label
_atom_site_type_symbol
_atom_site_fract_x
_atom_site_fract_y
_atom_site_fract_z
Sr1 Sr 0.000 0.000 0.000
Ca1 Ca 0.000 0.000 0.339
Pd1 Pd 0.500 0.500 0.189
Pd2 Pd 0.500 0.500 0.500
```



5.
Diffraction record for SrCaPd10. The PXRD pattern is calculated, not measured: it uses a cell relaxed with GGA-PBE and a wavelength of 1.5418 Å.
No peak broadening, texture or thermal motion is included.

Top 12 peaks for 2θ = 10–90°, by angle:
h k l  d (Å)  Position (°2θ)  intensity
0 0 2  4.675  19.0  48.3
0 2 0  2.699  33.2  15.4
0 0 4  2.337  38.5  27.2
1 2 0  2.309  39.0  100.0
2 0 0  2.231  40.4  36.5
1 2 2  2.070  43.7  64.3
2 0 4  1.614  57.1  16.8
1 3 3  1.471  63.2  23.2
0 2 6  1.350  69.6  13.9
3 2 0  1.303  72.6  15.4
3 2 2  1.255  75.8  12.2
2 4 0  1.155  83.8  25.3

Atomic structure:
```
data_SrCaPd10
_chemical_formula_sum 'Sr1 Ca1 Pd10'
_space_group_name_H-M_alt 'P m m m'
_space_group_IT_number 47
_cell_length_a 4.463
_cell_length_b 5.393
_cell_length_c 9.357
_cell_angle_alpha 90.00
_cell_angle_beta 90.00
_cell_angle_gamma 90.00
loop_
_space_group_symop_operation_xyz
'x,y,z'
'-x,-y,-z'
'-x,-y,z'
'x,y,-z'
'x,-y,-z'
'-x,y,z'
'-x,y,-z'
'x,-y,z'
loop_
_atom_site_label
_atom_site_type_symbol
_atom_site_fract_x
_atom_site_fract_y
_atom_site_fract_z
Sr1 Sr 0.000 0.000 0.000
Ca1 Ca 0.000 0.500 0.500
Pd1 Pd 0.000 0.000 0.338
Pd2 Pd 0.000 0.500 0.172
Pd3 Pd 0.500 0.000 0.500
Pd4 Pd 0.500 0.251 0.252
Pd5 Pd 0.500 0.500 0.000
```



6.
Diffraction record for Sr3Ca2Pd. The PXRD pattern is calculated, not measured: it uses a cell relaxed with GGA-PBE and a wavelength of 1.5418 Å.
No peak broadening, texture or thermal motion is included.

Top 12 peaks for 2θ = 10–90°, by angle:
h k l  d (Å)  Position (°2θ)  intensity
1 1 0  5.995  14.8  74.1
2 0 2  3.556  25.0  100.0
5 1 0  3.421  26.0  48.0
0 2 0  3.136  28.5  78.8
4 0 2  2.917  30.6  55.9
3 1 2  2.871  31.2  63.9
6 0 2  2.390  37.6  32.7
2 2 2  2.352  38.3  64.2
4 2 2  2.136  42.3  48.8
6 2 2  1.901  47.9  32.1
2 2 -4  1.737  52.7  26.9
10 2 0  1.711  53.6  26.9

Atomic structure:
```
data_Sr3Ca2Pd
_chemical_formula_sum 'Sr12 Ca8 Pd4'
_space_group_name_H-M_alt 'C 1 2/c 1'
_space_group_IT_number 15
_cell_length_a 20.833
_cell_length_b 6.272
_cell_length_c 8.342
_cell_angle_alpha 90.00
_cell_angle_beta 101.56
_cell_angle_gamma 90.00
loop_
_space_group_symop_operation_xyz
'x,y,z'
'-x,-y,-z'
'-x,y,-z+1/2'
'x,-y,z+1/2'
'x+1/2,y+1/2,z'
'-x+1/2,-y+1/2,-z'
'-x+1/2,y+1/2,-z+1/2'
'x+1/2,-y+1/2,z+1/2'
loop_
_atom_site_label
_atom_site_type_symbol
_atom_site_fract_x
_atom_site_fract_y
_atom_site_fract_z
Sr1 Sr 0.000 0.001 0.250
Sr2 Sr 0.104 0.500 0.052
Ca1 Ca 0.219 0.000 0.109
Pd1 Pd 0.000 0.499 0.750
```



7.
Diffraction record for CaTb4Pd4. The PXRD pattern is calculated, not measured: it uses a cell relaxed with GGA-PBE and a wavelength of 1.5418 Å.
No peak broadening, texture or thermal motion is included.

Top 12 peaks for 2θ = 10–90°, by angle:
h k l  d (Å)  Position (°2θ)  intensity
1 1 0  6.479  13.7  50.1
2 0 0  4.581  19.4  14.6
1 3 0  2.897  30.9  100.0
1 0 2  2.732  32.8  47.6
1 2 2  2.346  38.4  18.2
2 3 1  2.323  38.8  14.6
3 0 2  2.088  43.3  29.0
4 2 0  2.049  44.2  34.5
1 3 2  2.036  44.5  17.4
3 2 2  1.900  47.9  23.3
1 4 2  1.755  52.1  17.2
7 1 0  1.296  73.0  14.9

Atomic structure:
```
data_CaTb4Pd4
_chemical_formula_sum 'Ca2 Tb8 Pd8'
_space_group_name_H-M_alt 'P 42/n'
_space_group_IT_number 86
_cell_length_a 9.162
_cell_length_b 9.162
_cell_length_c 5.724
_cell_angle_alpha 90.00
_cell_angle_beta 90.00
_cell_angle_gamma 90.00
loop_
_space_group_symop_operation_xyz
'x,y,z'
'-x,-y,-z'
'-y,x+1/2,z+1/2'
'y,-x+1/2,-z+1/2'
'-x+1/2,-y+1/2,z'
'x+1/2,y+1/2,-z'
'y+1/2,-x,z+1/2'
'-y+1/2,x,-z+1/2'
loop_
_atom_site_label
_atom_site_type_symbol
_atom_site_fract_x
_atom_site_fract_y
_atom_site_fract_z
Ca1 Ca 0.250 0.250 0.250
Tb1 Tb 0.078 0.654 0.164
Pd1 Pd 0.041 0.622 0.663
```



8.
Diffraction record for Ca2Tb2Pd15. The PXRD pattern is calculated, not measured: it uses a cell relaxed with GGA-PBE and a wavelength of 1.5418 Å.
No peak broadening, texture or thermal motion is included.

Top 12 peaks for 2θ = 10–90°, by angle:
h k l  d (Å)  Position (°2θ)  intensity
1 0 1  6.982  12.7  32.0
1 1 0  4.640  19.1  14.1
3 0 0  2.679  33.5  25.4
0 2 4  2.650  33.8  26.6
0 0 6  2.350  38.3  27.0
0 3 3  2.327  38.7  52.4
2 2 0  2.320  38.8  46.5
2 0 5  2.308  39.0  17.2
1 1 6  2.096  43.2  31.7
2 2 3  2.080  43.5  100.0
0 3 9  1.352  69.5  18.0
6 0 0  1.339  70.3  20.4

Atomic structure:
```
data_Ca2Tb2Pd15
_chemical_formula_sum 'Ca6 Tb6 Pd45'
_space_group_name_H-M_alt 'R -3 m'
_space_group_IT_number 166
_space_group_name_Hall '-R 3 2"'
_cell_length_a 9.2797
_cell_length_b 9.2797
_cell_length_c 14.1002
_cell_angle_alpha 90.00
_cell_angle_beta 90.00
_cell_angle_gamma 120.00
loop_
_atom_site_label
_atom_site_type_symbol
_atom_site_fract_x
_atom_site_fract_y
_atom_site_fract_z
Ca1 Ca 0.0000 0.0000 0.1358
Tb1 Tb 0.0000 0.0000 0.3894
Pd1 Pd 0.0000 0.3023 0.5000
Pd2 Pd 0.0000 0.5000 0.0000
Pd3 Pd 0.0052 0.5026 0.6524
```



9.
Diffraction record for Ca2Tb2Pd3. The PXRD pattern is calculated, not measured: it uses a cell relaxed with GGA-PBE and a wavelength of 1.5418 Å.
No peak broadening, texture or thermal motion is included.

Top 12 peaks for 2θ = 10–90°, by angle:
h k l  d (Å)  Position (°2θ)  intensity
0 0 3  8.240  10.7  100.0
0 1 5  3.235  27.6  19.9
0 1 8  2.505  35.8  99.2
1 1 0  2.470  36.4  100.0
1 1 3  2.366  38.0  30.2
0 1 11  1.990  45.6  13.7
2 0 8  1.759  52.0  33.6
1 0 16  1.453  64.1  15.3
1 2 8  1.433  65.1  33.7
3 0 0  1.426  65.4  17.4
2 1 16  1.117  87.3  13.2
3 1 8  1.108  88.2  14.9

Atomic structure:
```
data_Ca2Tb2Pd3
_chemical_formula_sum 'Ca6 Tb6 Pd9'
_space_group_name_H-M_alt 'R -3 m'
_space_group_IT_number 166
_space_group_name_Hall '-R 3 2"'
_cell_length_a 4.9400
_cell_length_b 4.9400
_cell_length_c 24.7201
_cell_angle_alpha 90.00
_cell_angle_beta 90.00
_cell_angle_gamma 120.00
loop_
_atom_site_label
_atom_site_type_symbol
_atom_site_fract_x
_atom_site_fract_y
_atom_site_fract_z
Ca1 Ca 0.0000 0.0000 0.1262
Tb1 Tb 0.0000 0.0000 0.3758
Pd1 Pd 0.0000 0.0000 0.0000
Pd2 Pd 0.0000 0.0000 0.2579
```



10.
Diffraction record for CaTePd. The PXRD pattern is calculated, not measured: it uses a cell relaxed with GGA-PBE and a wavelength of 1.5418 Å.
No peak broadening, texture or thermal motion is included.

Top 12 peaks for 2θ = 10–90°, by angle:
h k l  d (Å)  Position (°2θ)  intensity
0 0 3  7.710  11.5  27.9
1 0 1  4.030  22.1  14.3
0 0 6  3.856  23.1  24.7
1 0 7  2.571  34.9  12.5
1 1 0  2.362  38.1  100.0
1 1 3  2.259  39.9  8.0
1 1 6  2.014  45.0  15.5
2 0 8  1.670  55.0  15.8
0 1 14  1.532  60.4  7.6
3 0 0  1.364  68.8  30.1
2 2 0  1.181  81.5  8.9
1 2 14  1.129  86.1  7.0

Atomic structure:
```
data_CaTePd
_chemical_formula_sum 'Ca6 Te6 Pd6'
_space_group_name_H-M_alt 'R -3 m'
_space_group_IT_number 166
_space_group_name_Hall '-R 3 2"'
_cell_length_a 4.7251
_cell_length_b 4.7251
_cell_length_c 23.1309
_cell_angle_alpha 90.00
_cell_angle_beta 90.00
_cell_angle_gamma 120.00
loop_
_atom_site_label
_atom_site_type_symbol
_atom_site_fract_x
_atom_site_fract_y
_atom_site_fract_z
Ca1 Ca 0.0000 0.0000 0.2401
Te1 Te 0.0000 0.0000 0.0000
Te2 Te 0.0000 0.0000 0.5000
Pd1 Pd 0.0000 0.0000 0.3662
```



11.
Diffraction record for CaThPd3. The PXRD pattern is calculated, not measured: it uses a cell relaxed with GGA-PBE and a wavelength of 1.5418 Å.
No peak broadening, texture or thermal motion is included.

Top 12 peaks for 2θ = 10–90°, by angle:
h k l  d (Å)  Position (°2θ)  intensity
0 0 1  8.238  10.7  100.0
0 1 2  3.366  26.5  22.3
1 0 2  3.112  28.7  22.6
0 2 1  2.754  32.5  10.3
1 2 1  2.383  37.7  84.0
2 0 0  2.377  37.9  79.6
1 2 2  2.131  42.4  32.9
2 0 3  1.798  50.8  13.0
0 2 4  1.683  54.5  25.5
2 2 4  1.373  68.3  28.5
1 0 6  1.319  71.5  13.2
2 4 0  1.245  76.5  19.6

Atomic structure:
```
data_CaThPd3
_chemical_formula_sum 'Ca2 Th2 Pd6'
_space_group_name_H-M_alt 'P m m n'
_space_group_IT_number 59
_cell_length_a 4.751
_cell_length_b 5.846
_cell_length_c 8.238
_cell_angle_alpha 90.00
_cell_angle_beta 90.00
_cell_angle_gamma 90.00
loop_
_space_group_symop_operation_xyz
'x,y,z'
'-x,-y,-z'
'-x+1/2,-y+1/2,z'
'x+1/2,y+1/2,-z'
'x+1/2,-y,-z'
'-x+1/2,y,z'
'-x,y+1/2,-z'
'x,-y+1/2,z'
loop_
_atom_site_label
_atom_site_type_symbol
_atom_site_fract_x
_atom_site_fract_y
_atom_site_fract_z
Ca1 Ca 0.250 0.250 0.045
Th1 Th 0.250 0.750 0.389
Pd1 Pd 0.250 0.250 0.396
Pd2 Pd 0.250 0.510 0.731
```



12.
Diffraction record for CaTi2Pd9. The PXRD pattern is calculated, not measured: it uses a cell relaxed with GGA-PBE and a wavelength of 1.5418 Å.
No peak broadening, texture or thermal motion is included.

Top 12 peaks for 2θ = 10–90°, by angle:
h k l  d (Å)  Position (°2θ)  intensity
1 0 0  3.986  22.3  6.3
1 1 0  2.822  31.7  7.8
1 1 3  2.305  39.1  100.0
1 1 4  2.055  44.1  2.9
0 0 6  2.002  45.3  14.3
2 0 0  1.993  45.5  33.5
2 1 0  1.783  51.2  2.6
2 0 6  1.412  66.2  17.7
2 2 0  1.409  66.3  10.5
1 1 9  1.206  79.5  8.3
3 1 3  1.202  79.8  23.8
2 2 6  1.152  84.0  9.1

Atomic structure:
```
data_CaTi2Pd9
_chemical_formula_sum 'Ca1 Ti2 Pd9'
_space_group_name_H-M_alt 'P 4/m m m'
_space_group_IT_number 123
_space_group_name_Hall '-P 4 2'
_cell_length_a 3.986
_cell_length_b 3.986
_cell_length_c 12.012
_cell_angle_alpha 90.00
_cell_angle_beta 90.00
_cell_angle_gamma 90.00
loop_
_atom_site_label
_atom_site_type_symbol
_atom_site_fract_x
_atom_site_fract_y
_atom_site_fract_z
Ca1 Ca 0.000 0.000 0.000
Ti1 Ti 0.000 0.000 0.335
Pd1 Pd 0.000 0.500 0.183
Pd2 Pd 0.000 0.500 0.500
Pd3 Pd 0.500 0.500 0.000
Pd4 Pd 0.500 0.500 0.341
```



13.
Diffraction record for Ca2Tl2Pd. The PXRD pattern is calculated, not measured: it uses a cell relaxed with GGA-PBE and a wavelength of 1.5418 Å.
No peak broadening, texture or thermal motion is included.

Top 12 peaks for 2θ = 10–90°, by angle:
h k l  d (Å)  Position (°2θ)  intensity
2 0 -1  5.807  15.3  52.8
2 0 1  4.320  20.6  46.0
1 1 0  3.836  23.2  100.0
2 0 -3  3.815  23.3  51.1
4 0 -2  2.903  30.8  33.5
1 1 -3  2.876  31.1  96.9
3 1 -1  2.823  31.7  54.3
3 1 1  2.490  36.1  99.6
4 0 -4  2.460  36.5  45.5
1 1 4  2.142  42.2  35.6
1 1 -5  2.063  43.9  28.5
0 2 0  2.050  44.2  41.6

Atomic structure:
```
data_Ca2Tl2Pd
_chemical_formula_sum 'Ca8 Tl8 Pd4'
_space_group_name_H-M_alt 'C 1 2/m 1'
_space_group_IT_number 12
_cell_length_a 11.703
_cell_length_b 4.099
_cell_length_c 12.116
_cell_angle_alpha 90.00
_cell_angle_beta 111.53
_cell_angle_gamma 90.00
loop_
_space_group_symop_operation_xyz
'x,y,z'
'-x,-y,-z'
'-x,y,-z'
'x,-y,z'
'x+1/2,y+1/2,z'
'-x+1/2,-y+1/2,-z'
'-x+1/2,y+1/2,-z'
'x+1/2,-y+1/2,z'
loop_
_atom_site_label
_atom_site_type_symbol
_atom_site_fract_x
_atom_site_fract_y
_atom_site_fract_z
Ca1 Ca 0.005 0.000 0.170
Ca2 Ca 0.188 0.000 0.625
Tl1 Tl 0.044 0.500 0.393
Tl2 Tl 0.165 0.500 0.055
Pd1 Pd 0.182 0.500 0.810
```



14.
Diffraction record for Ca3Tl2Pd7. The PXRD pattern is calculated, not measured: it uses a cell relaxed with GGA-PBE and a wavelength of 1.5418 Å.
No peak broadening, texture or thermal motion is included.

Top 12 peaks for 2θ = 10–90°, by angle:
h k l  d (Å)  Position (°2θ)  intensity
0 0 3  8.807  10.0  27.4
1 0 1  4.837  18.3  71.3
1 1 0  2.841  31.5  21.5
1 1 6  2.387  37.7  100.0
0 2 4  2.305  39.1  16.3
2 0 5  2.230  40.4  47.6
0 0 12  2.202  41.0  26.7
0 1 11  2.158  41.9  16.5
0 2 7  2.061  43.9  25.2
0 3 6  1.537  60.2  25.2
2 2 0  1.420  65.7  23.8
2 2 12  1.194  80.5  22.3

Atomic structure:
```
data_Ca3Tl2Pd7
_chemical_formula_sum 'Ca9 Tl6 Pd21'
_space_group_name_H-M_alt 'R -3 m'
_space_group_IT_number 166
_space_group_name_Hall '-R 3 2"'
_cell_length_a 5.6815
_cell_length_b 5.6815
_cell_length_c 26.4201
_cell_angle_alpha 90.00
_cell_angle_beta 90.00
_cell_angle_gamma 120.00
loop_
_atom_site_label
_atom_site_type_symbol
_atom_site_fract_x
_atom_site_fract_y
_atom_site_fract_z
Ca1 Ca 0.0000 0.0000 0.0000
Ca2 Ca 0.0000 0.0000 0.1402
Tl1 Tl 0.0000 0.0000 0.3336
Pd1 Pd 0.0000 0.0000 0.5000
Pd2 Pd 0.0029 0.5014 0.9143
```